Simulated powder X-ray diffraction pattern of Nd3Ge2Se for Cu Kα X-rays, from the PBE geometry in Alexandria.
No peak broadening, texture or thermal motion is included.

Structural model:
```
Nd3Ge2Se
1.0
-2.119 3.025 6.477
2.119 -3.025 6.477
2.119 3.025 -6.477
Nd Ge Se
3 2 1
Cartesian
0.000 0.000 0.000 Nd
0.000 0.000 4.324 Nd
0.000 0.000 8.630 Nd
2.119 0.000 2.120 Ge
0.000 3.025 4.357 Ge
0.000 3.025 0.000 Se
```

Most intense lines, 5° ≤ 2θ ≤ 70°, in order of rising 2θ:
- 29.53 deg, 3.025 Å, rel. 100.0
- 41.84 deg, 2.159 Å, rel. 12.9
- 42.25 deg, 2.139 Å, rel. 50.1
- 52.04 deg, 1.757 Å, rel. 13.6
- 52.75 deg, 1.735 Å, rel. 13.1
- 69.49 deg, 1.353 Å, rel. 22.6